[1]
Starting from a crystal structure in Alexandria, relaxed with GGA-PBE, the X-ray diffraction stick pattern of PmPrTh2Rh4 was computed for Cu Kα (weighted mean of Kα1 and Kα2).
Lines closer than 0.1° are merged.

Largest 6 diffraction maxima, by angle, 2θ from 10° to 90°:
d_spacing  I (rel.)  (hkl)
2.893  100  2 0 2
2.865  54  0 4 0
2.129  19  0 0 4
2.036  73  2 4 2
1.709  25  0 4 4
1.284  17  2 8 2

```
data_PmPrTh2Rh4
_chemical_formula_sum 'Pm4 Pr4 Th8 Rh16'
_symmetry_space_group_name_H-M 'F m m 2'
_symmetry_Int_Tables_number 42
_symmetry_space_group_name_Hall 'F 2 -2'
_cell_length_a 7.8874
_cell_length_b 11.4606
_cell_length_c 8.5164
_cell_angle_alpha 90.00
_cell_angle_beta 90.00
_cell_angle_gamma 90.00
loop_
_atom_site_label
_atom_site_type_symbol
_atom_site_fract_x
_atom_site_fract_y
_atom_site_fract_z
Pm1 Pm 0.0000 0.0000 0.0000
Pr1 Pr 0.0000 0.0000 0.4404
Th1 Th 0.2500 0.2500 0.2000
Rh1 Rh 0.0000 0.2444 0.9481
Rh2 Rh 0.2083 0.0000 0.7197
```

---

[2]
Starting from a crystal structure in Alexandria, relaxed with GGA-PBE, the X-ray diffraction stick pattern of Li5Tb2Cd12 was computed for Cu Kα (weighted mean of Kα1 and Kα2).
Lines closer than 0.1° are merged.

Largest 6 diffraction maxima, by angle, 2θ from 10° to 90°:
d_spacing  I (rel.)  (hkl)
3.665  25  2 0 2
3.136  28  2 1 1
2.833  28  3 0 0
2.756  48  0 2 4
2.443  100  3 0 3
2.414  30  0 0 6

```
data_Li5Tb2Cd12
_chemical_formula_sum 'Li15 Tb6 Cd36'
_symmetry_space_group_name_H-M 'R -3 m'
_symmetry_Int_Tables_number 166
_symmetry_space_group_name_Hall '-R 3 2"'
_cell_length_a 9.8128
_cell_length_b 9.8128
_cell_length_c 14.4845
_cell_angle_alpha 90.00
_cell_angle_beta 90.00
_cell_angle_gamma 120.00
loop_
_atom_site_label
_atom_site_type_symbol
_atom_site_fract_x
_atom_site_fract_y
_atom_site_fract_z
Li1 Li 0.0000 0.0000 0.0990
Li2 Li 0.0000 0.5000 0.5000
Tb1 Tb 0.0000 0.0000 0.3446
Cd1 Cd 0.0000 0.2978 0.0000
Cd2 Cd 0.0092 0.5046 0.8501
```

---

[3]
Starting from a crystal structure in Alexandria, relaxed with GGA-PBE, the X-ray diffraction stick pattern of As3P2H4 was computed for Cu Kα (weighted mean of Kα1 and Kα2).
Lines closer than 0.1° are merged.

Largest 6 diffraction maxima, by angle, 2θ from 10° to 90°:
d_spacing  I (rel.)  (hkl)
4.660  100  0 2 0
3.954  27  2 0 -2
2.672  64  4 0 -2
2.501  35  1 1 2
2.318  33  4 2 -2
1.970  22  3 1 -4

```
data_As3P2H4
_chemical_formula_sum 'As12 P8 H16'
_symmetry_space_group_name_H-M 'C 1 2/c 1'
_symmetry_Int_Tables_number 15
_symmetry_space_group_name_Hall '-C 2yc'
_cell_length_a 10.7334
_cell_length_b 9.3195
_cell_length_c 8.0700
_cell_angle_alpha 90.00
_cell_angle_beta 125.95
_cell_angle_gamma 90.00
loop_
_atom_site_label
_atom_site_type_symbol
_atom_site_fract_x
_atom_site_fract_y
_atom_site_fract_z
As1 As 0.0000 0.1153 0.2500
As2 As 0.1004 0.4818 0.9395
P1 P 0.1578 0.0318 0.0364
H1 H 0.0993 0.3183 0.9694
H2 H 0.1988 0.0972 0.6541
```